# Na4MgSiAu2
Computed powder diffraction line list, copper Kα. Input: a PBE-relaxed structure.
Lines closer than 0.1° are merged.

Crystal structure
Cell lengths 4.805, 4.805, 6.834 Å; angles 90.00, 90.00, 90.00 degrees
Fractional coordinates of all 8 atoms:
Na: 0.000 0.000 0.000
Na: 0.000 0.500 0.738
Na: 0.500 0.000 0.262
Na: 0.500 0.500 0.500
Mg: 0.500 0.500 0.000
Si: 0.000 0.000 0.500
Au: 0.000 0.500 0.262
Au: 0.500 0.000 0.738

Largest 6 diffraction maxima, in order of rising 2θ, 10 to 80 degrees two-theta:
(1 0 1), 22.62°, I = 100.0
(1 1 0), 26.23°, I = 34.1
(1 1 2), 37.32°, I = 70.6
(2 0 0), 37.43°, I = 35.7
(2 1 1), 44.18°, I = 36.3
(3 1 2), 67.46°, I = 24.4